Structure and calculated X-ray powder pattern of CaCu3As3 (a crystal structure in Alexandria, relaxed with GGA-PBE; copper Kα).
Kinematic intensities with the Lorentz-polarization factor, no thermal factor.

The 10 most intense peaks (2θ = 10–80°), in order of rising 2θ:
Position (°2θ)	d/Å	I (rel.)
18.8	4.710	60
26.8	3.330	43
32.9	2.719	100
42.9	2.106	15
47.3	1.923	53
51.3	1.780	54
55.2	1.665	35
62.3	1.489	14
65.8	1.420	12
78.7	1.216	14

Structural model:
Lattice parameters (Å, degrees): 6.660 6.660 6.660 90.00 90.00 90.00
Positions (direct):
Ca 0.000 0.000 0.000
Ca 0.500 0.500 0.500
Cu 0.000 0.250 0.500
Cu 0.000 0.750 0.500
Cu 0.250 0.500 0.000
Cu 0.500 0.000 0.250
Cu 0.500 0.000 0.750
Cu 0.750 0.500 0.000
As 0.000 0.500 0.250
As 0.000 0.500 0.750
As 0.250 0.000 0.500
As 0.500 0.250 0.000
As 0.500 0.750 0.000
As 0.750 0.000 0.500


Structure and calculated X-ray powder pattern of CeSe2Cl4 (a crystal structure in Alexandria, relaxed with GGA-PBE; copper Kα).
Kinematic intensities with the Lorentz-polarization factor, no thermal factor.

The 10 most intense peaks (2θ = 10–80°), in order of rising 2θ:
Position (°2θ)	d/Å	I (rel.)
15.3	5.800	93
16.4	5.415	100
20.0	4.448	61
25.4	3.509	44
29.7	3.003	24
31.8	2.812	35
33.8	2.651	71
35.8	2.509	28
47.8	1.902	20
49.6	1.838	30

Structural model:
Lattice parameters (Å, degrees): 17.837 4.087 7.220 90.00 94.02 90.00
Positions (direct):
Ce 0.000 0.000 0.000
Ce 0.500 0.500 0.000
Se 0.243 0.500 0.583
Se 0.257 0.000 0.417
Se 0.743 0.000 0.583
Se 0.757 0.500 0.417
Cl 0.031 0.500 0.247
Cl 0.137 0.000 0.920
Cl 0.363 0.500 0.080
Cl 0.469 0.000 0.753
Cl 0.531 0.000 0.247
Cl 0.637 0.500 0.920
Cl 0.863 0.000 0.080
Cl 0.969 0.500 0.753


Structure and calculated X-ray powder pattern of TmHfAl6 (a crystal structure in Alexandria, relaxed with GGA-PBE; copper Kα).
Kinematic intensities with the Lorentz-polarization factor, no thermal factor.

The 10 most intense peaks (2θ = 10–80°), in order of rising 2θ:
Position (°2θ)	d/Å	I (rel.)
21.4	4.156	100
30.4	2.939	85
37.5	2.399	99
43.6	2.078	49
49.0	1.859	46
54.0	1.697	35
63.3	1.469	32
67.6	1.386	13
75.9	1.253	38
80.0	1.200	11

Structural model:
Lattice parameters (Å, degrees): 4.154 4.154 8.320 90.00 90.00 90.00
Positions (direct):
Tm 0.000 0.000 0.000
Hf 0.000 0.000 0.500
Al 0.000 0.500 0.257
Al 0.000 0.500 0.743
Al 0.500 0.000 0.257
Al 0.500 0.000 0.743
Al 0.500 0.500 0.000
Al 0.500 0.500 0.500


Structure and calculated X-ray powder pattern of Cs2Hg7Sb (a crystal structure in Alexandria, relaxed with GGA-PBE; copper Kα).
Kinematic intensities with the Lorentz-polarization factor, no thermal factor.

The 10 most intense peaks (2θ = 10–80°), in order of rising 2θ:
Position (°2θ)	d/Å	I (rel.)
15.0	5.898	34
26.2	3.405	79
30.3	2.949	100
34.0	2.638	20
43.4	2.085	76
51.4	1.778	38
53.8	1.703	27
69.5	1.353	16
71.5	1.319	35
79.6	1.204	26

Structural model:
Lattice parameters (Å, degrees): 8.342 8.342 8.342 60.00 60.00 60.00
Positions (direct):
Cs 0.250 0.250 0.250
Cs 0.750 0.750 0.750
Hg 0.000 0.000 0.000
Hg 0.246 0.246 0.754
Hg 0.246 0.754 0.246
Hg 0.246 0.754 0.754
Hg 0.754 0.246 0.246
Hg 0.754 0.246 0.754
Hg 0.754 0.754 0.246
Sb 0.500 0.500 0.500


Structure and calculated X-ray powder pattern of NpCdH8Ir2 (a crystal structure in Alexandria, relaxed with GGA-PBE; copper Kα).
Kinematic intensities with the Lorentz-polarization factor, no thermal factor.

The 10 most intense peaks (2θ = 10–80°), in order of rising 2θ:
Position (°2θ)	d/Å	I (rel.)
14.1	6.270	45
28.8	3.101	100
37.8	2.382	67
40.0	2.252	25
40.5	2.226	22
44.3	2.043	12
48.2	1.889	25
62.8	1.480	22
68.2	1.375	12
69.7	1.349	10

Structural model:
Lattice parameters (Å, degrees): 6.847 6.847 6.847 40.71 40.71 40.71
Positions (direct):
Np 0.000 0.000 0.000
Cd 0.500 0.500 0.500
H 0.067 0.067 0.544
H 0.067 0.544 0.067
H 0.368 0.368 0.368
H 0.456 0.933 0.933
H 0.544 0.067 0.067
H 0.632 0.632 0.632
H 0.933 0.456 0.933
H 0.933 0.933 0.456
Ir 0.280 0.280 0.280
Ir 0.720 0.720 0.720


Structure and calculated X-ray powder pattern of TbTm2Zn2 (a crystal structure in Alexandria, relaxed with GGA-PBE; copper Kα).
Kinematic intensities with the Lorentz-polarization factor, no thermal factor.

The 10 most intense peaks (2θ = 10–80°), in order of rising 2θ:
Position (°2θ)	d/Å	I (rel.)
27.8	3.213	25
28.6	3.118	39
31.6	2.831	23
34.3	2.614	100
34.5	2.597	59
37.4	2.405	32
37.9	2.375	16
38.5	2.336	16
44.7	2.027	14
47.4	1.919	15

Structural model:
Lattice parameters (Å, degrees): 7.996 7.996 6.106 90.00 90.00 141.88
Positions (direct):
Tb 0.083 0.917 0.500
Tb 0.917 0.083 0.000
Tm 0.301 0.699 0.748
Tm 0.457 0.543 0.345
Tm 0.543 0.457 0.845
Tm 0.699 0.301 0.248
Zn 0.123 0.877 0.009
Zn 0.276 0.724 0.241
Zn 0.724 0.276 0.741
Zn 0.877 0.123 0.509


Structure and calculated X-ray powder pattern of La5Hg2Ir2Au (a crystal structure in Alexandria, relaxed with GGA-PBE; copper Kα).
Kinematic intensities with the Lorentz-polarization factor, no thermal factor.

The 10 most intense peaks (2θ = 10–80°), in order of rising 2θ:
Position (°2θ)	d/Å	I (rel.)
30.4	2.944	30
31.2	2.871	12
31.3	2.861	11
32.9	2.723	100
33.0	2.714	22
35.4	2.538	31
47.0	1.932	15
53.3	1.718	13
57.0	1.615	10
60.5	1.531	10

Structural model:
Lattice parameters (Å, degrees): 12.138 12.138 3.863 90.00 90.00 90.00
Positions (direct):
La 0.000 0.500 0.000
La 0.083 0.200 0.000
La 0.200 0.917 0.000
La 0.300 0.417 0.000
La 0.417 0.700 0.000
La 0.500 0.000 0.000
La 0.583 0.300 0.000
La 0.700 0.583 0.000
La 0.800 0.083 0.000
La 0.917 0.800 0.000
Hg 0.173 0.673 0.500
Hg 0.327 0.173 0.500
Hg 0.673 0.827 0.500
Hg 0.827 0.327 0.500
Ir 0.133 0.367 0.500
Ir 0.367 0.867 0.500
Ir 0.633 0.133 0.500
Ir 0.867 0.633 0.500
Au 0.000 0.000 0.500
Au 0.500 0.500 0.500


Structure and calculated X-ray powder pattern of PaPRuPt (a crystal structure in Alexandria, relaxed with GGA-PBE; copper Kα).
Kinematic intensities with the Lorentz-polarization factor, no thermal factor.

The 10 most intense peaks (2θ = 10–80°), in order of rising 2θ:
Position (°2θ)	d/Å	I (rel.)
32.3	2.773	50
33.7	2.656	58
37.1	2.425	100
37.8	2.379	34
45.5	1.993	25
46.3	1.961	48
60.7	1.525	49
66.9	1.398	16
67.6	1.386	16
69.7	1.348	17

Structural model:
Lattice parameters (Å, degrees): 3.921 3.921 9.259 90.00 90.00 90.00
Positions (direct):
Pa 0.250 0.250 0.228
Pa 0.750 0.750 0.772
P 0.250 0.250 0.638
P 0.750 0.750 0.362
Ru 0.250 0.750 0.500
Ru 0.750 0.250 0.500
Pt 0.250 0.250 0.909
Pt 0.750 0.750 0.091


Structure and calculated X-ray powder pattern of Ho6Fe23 (a crystal structure in Alexandria, relaxed with GGA-PBE; copper Kα).
Kinematic intensities with the Lorentz-polarization factor, no thermal factor.

The 10 most intense peaks (2θ = 10–80°), in order of rising 2θ:
Position (°2θ)	d/Å	I (rel.)
25.8	3.457	29
29.8	2.994	20
32.6	2.747	23
36.8	2.444	31
39.1	2.305	85
42.7	2.117	100
45.4	1.996	15
54.7	1.677	16
63.6	1.463	19
66.2	1.411	22

Structural model:
Lattice parameters (Å, degrees): 8.468 8.468 8.468 60.00 60.00 60.00
Positions (direct):
Ho 0.209 0.209 0.791
Ho 0.209 0.791 0.209
Ho 0.209 0.791 0.791
Ho 0.791 0.209 0.209
Ho 0.791 0.209 0.791
Ho 0.791 0.791 0.209
Fe 0.000 0.000 0.500
Fe 0.000 0.500 0.000
Fe 0.000 0.500 0.500
Fe 0.135 0.622 0.622
Fe 0.175 0.175 0.175
Fe 0.175 0.175 0.474
Fe 0.175 0.474 0.175
Fe 0.378 0.378 0.378
Fe 0.378 0.378 0.865
Fe 0.378 0.865 0.378
Fe 0.474 0.175 0.175
Fe 0.500 0.000 0.000
Fe 0.500 0.000 0.500
Fe 0.500 0.500 0.000
Fe 0.500 0.500 0.500
Fe 0.526 0.825 0.825
Fe 0.622 0.135 0.622
Fe 0.622 0.622 0.135
Fe 0.622 0.622 0.622
Fe 0.825 0.526 0.825
Fe 0.825 0.825 0.526
Fe 0.825 0.825 0.825
Fe 0.865 0.378 0.378


Structure and calculated X-ray powder pattern of VPd2Rh2 (a crystal structure in Alexandria, relaxed with GGA-PBE; copper Kα).
Kinematic intensities with the Lorentz-polarization factor, no thermal factor.

The 10 most intense peaks (2θ = 10–80°), in order of rising 2θ:
Position (°2θ)	d/Å	I (rel.)
27.4	3.254	5
40.4	2.235	100
40.6	2.224	99
46.4	1.956	33
47.1	1.929	33
47.6	1.909	31
68.3	1.373	20
68.4	1.371	10
69.0	1.361	10
69.3	1.357	19

Structural model:
Lattice parameters (Å, degrees): 8.552 3.857 6.065 90.00 133.97 90.00
Positions (direct):
V 0.000 0.000 0.000
V 0.500 0.500 0.000
Pd 0.201 0.000 0.600
Pd 0.299 0.500 0.400
Pd 0.701 0.500 0.600
Pd 0.799 0.000 0.400
Rh 0.105 0.500 0.811
Rh 0.395 0.000 0.189
Rh 0.605 0.000 0.811
Rh 0.895 0.500 0.189


Structure and calculated X-ray powder pattern of PmNd4Er2Mg (a crystal structure in Alexandria, relaxed with GGA-PBE; copper Kα).
Kinematic intensities with the Lorentz-polarization factor, no thermal factor.

The 10 most intense peaks (2θ = 10–80°), in order of rising 2θ:
Position (°2θ)	d/Å	I (rel.)
19.6	4.537	6
30.6	2.922	100
35.3	2.545	34
35.9	2.502	16
50.7	1.800	12
51.2	1.784	24
60.4	1.532	29
61.2	1.513	14
63.7	1.461	12
74.6	1.272	4

Structural model:
Lattice parameters (Å, degrees): 5.090 5.090 10.009 90.00 90.00 90.00
Positions (direct):
Pm 0.000 0.000 0.000
Nd 0.000 0.500 0.256
Nd 0.000 0.500 0.744
Nd 0.500 0.000 0.256
Nd 0.500 0.000 0.744
Er 0.000 0.000 0.500
Er 0.500 0.500 0.000
Mg 0.500 0.500 0.500


Structure and calculated X-ray powder pattern of LaEr2TeO8 (a crystal structure in Alexandria, relaxed with GGA-PBE; copper Kα).
Kinematic intensities with the Lorentz-polarization factor, no thermal factor.

The 10 most intense peaks (2θ = 10–80°), in order of rising 2θ:
Position (°2θ)	d/Å	I (rel.)
25.1	3.545	55
25.4	3.504	52
30.9	2.892	100
36.0	2.492	31
48.0	1.894	38
48.4	1.882	37
51.5	1.774	17
58.3	1.583	17
61.6	1.505	21
64.4	1.446	12

Structural model:
Lattice parameters (Å, degrees): 4.985 4.985 7.102 90.00 90.00 90.67
Positions (direct):
La 0.000 0.000 0.000
Er 0.500 0.500 0.263
Er 0.500 0.500 0.737
Te 0.000 0.000 0.500
O 0.186 0.814 0.297
O 0.186 0.814 0.703
O 0.280 0.280 0.500
O 0.324 0.324 0.000
O 0.676 0.676 0.000
O 0.720 0.720 0.500
O 0.814 0.186 0.297
O 0.814 0.186 0.703


Structure and calculated X-ray powder pattern of Mg4InRe (a crystal structure in Alexandria, relaxed with GGA-PBE; copper Kα).
Kinematic intensities with the Lorentz-polarization factor, no thermal factor.

The 10 most intense peaks (2θ = 10–80°), in order of rising 2θ:
Position (°2θ)	d/Å	I (rel.)
19.9	4.460	69
32.8	2.731	98
38.7	2.329	100
47.1	1.931	8
51.6	1.772	17
58.5	1.577	37
62.5	1.487	32
68.7	1.366	20
72.4	1.306	13
78.3	1.221	16

Structural model:
Lattice parameters (Å, degrees): 5.462 5.462 5.462 60.00 60.00 60.00
Positions (direct):
Mg 0.124 0.124 0.124
Mg 0.124 0.124 0.629
Mg 0.124 0.629 0.124
Mg 0.629 0.124 0.124
In 0.500 0.500 0.500
Re 0.750 0.750 0.750